Structure and simulated X-ray powder pattern of PaMnFe (a structure optimized by DFT (GGA-PBE); Cu Kα (λ = 1.5418 Å)).
Intensities are scaled so that the largest is 100.

Structural model:
a = 4.545 Å, b = 5.298 Å, c = 7.464 Å
α = 90.00°, β = 90.00°, γ = 90.00°
Space group Imma (No. 74)
Unique sites:
Pa  0.000  0.250  0.124
Mn  0.250  0.250  0.750
Fe  0.000  0.000  0.500

The 6 most intense peaks (2θ from 15° to 90°), by angle:
d [Å], I/Imax, h k l
4.320, 37, 0 1 1
2.533, 100, 1 1 2
2.252, 34, 0 1 3
2.188, 63, 1 2 1
2.182, 29, 1 0 3
2.011, 46, 2 1 1